1.
Theoretical XRD peak list of TlHgTeSe3 for Cu Kα (weighted mean of Kα1 and Kα2), from DFT lattice parameters and positions (PBE).

Principal peaks in the range 2θ from 5° to 70°, by intensity:
2θ = 29.0°, rel. 100
2θ = 9.4°, rel. 44
2θ = 34.1°, rel. 28
2θ = 12.3°, rel. 28
2θ = 13.2°, rel. 25
2θ = 25.9°, rel. 23
2θ = 27.9°, rel. 22
2θ = 44.4°, rel. 21
2θ = 38.4°, rel. 18
2θ = 46.4°, rel. 18

Crystal structure
a b c (Å): 9.400 4.082 10.347
angles (deg): 90.00 94.45 90.00
Positions (direct):
Tl1 0.143 0.250 0.210
Tl2 0.857 0.750 0.790
Hg1 0.117 0.250 0.599
Hg2 0.883 0.750 0.401
Te1 0.382 0.750 0.847
Te2 0.618 0.250 0.153
Se1 0.167 0.250 0.857
Se2 0.191 0.750 0.447
Se3 0.421 0.750 0.149
Se4 0.579 0.250 0.851
Se5 0.809 0.250 0.553
Se6 0.833 0.750 0.143

2.
Theoretical XRD peak list of LiY2Au4 for Cu Kα (weighted mean of Kα1 and Kα2), from DFT lattice parameters and positions (PBE).

Principal peaks in the range 2θ from 5° to 70°, by intensity:
2θ = 37.4°, rel. 100
2θ = 36.8°, rel. 52
2θ = 25.8°, rel. 49
2θ = 66.7°, rel. 37
2θ = 26.5°, rel. 23
2θ = 46.0°, rel. 22
2θ = 53.1°, rel. 18
2θ = 67.7°, rel. 18
2θ = 22.5°, rel. 12
2θ = 60.0°, rel. 10

Crystal structure
a b c (Å): 4.879 4.879 6.719
angles (deg): 90.00 90.00 90.00
Positions (direct):
Li1 0.000 0.000 0.000
Y1 0.000 0.000 0.500
Y2 0.500 0.500 0.000
Au1 0.000 0.500 0.249
Au2 0.000 0.500 0.751
Au3 0.500 0.000 0.249
Au4 0.500 0.000 0.751

3.
Theoretical XRD peak list of Mg2Zn2Co for Cu Kα (weighted mean of Kα1 and Kα2), from DFT lattice parameters and positions (PBE).

Principal peaks in the range 2θ from 5° to 70°, by intensity:
2θ = 38.3°, rel. 100
2θ = 21.2°, rel. 64
2θ = 45.2°, rel. 39
2θ = 50.5°, rel. 29
2θ = 43.3°, rel. 27
2θ = 64.4°, rel. 26
2θ = 31.5°, rel. 21
2θ = 35.5°, rel. 13
2θ = 54.5°, rel. 8
2θ = 40.2°, rel. 8

Crystal structure
a b c (Å): 6.344 6.344 4.182
angles (deg): 90.00 90.00 90.00
Positions (direct):
Mg1 0.176 0.324 0.000
Mg2 0.324 0.824 0.000
Mg3 0.676 0.176 0.000
Mg4 0.824 0.676 0.000
Zn1 0.140 0.640 0.500
Zn2 0.360 0.140 0.500
Zn3 0.640 0.860 0.500
Zn4 0.860 0.360 0.500
Co1 0.000 0.000 0.500
Co2 0.500 0.500 0.500

4.
Theoretical XRD peak list of RbYMgI6 for Cu Kα (weighted mean of Kα1 and Kα2), from DFT lattice parameters and positions (PBE).

Principal peaks in the range 2θ from 5° to 70°, by intensity:
2θ = 25.4°, rel. 100
2θ = 31.7°, rel. 54
2θ = 40.2°, rel. 49
2θ = 17.0°, rel. 20
2θ = 10.7°, rel. 16
2θ = 37.1°, rel. 14
2θ = 21.5°, rel. 14
2θ = 48.2°, rel. 12
2θ = 50.2°, rel. 11
2θ = 50.1°, rel. 11

Crystal structure
a b c (Å): 7.756 7.756 16.497
angles (deg): 90.00 90.00 120.00
Positions (direct):
Rb1 0.000 0.000 0.000
Rb2 0.000 0.000 0.500
Y1 0.333 0.667 0.250
Y2 0.667 0.333 0.750
Mg1 0.333 0.667 0.750
Mg2 0.667 0.333 0.250
I1 0.009 0.376 0.645
I2 0.009 0.633 0.855
I3 0.367 0.376 0.855
I4 0.367 0.991 0.645
I5 0.376 0.009 0.145
I6 0.376 0.367 0.355
I7 0.624 0.633 0.645
I8 0.624 0.991 0.855
I9 0.633 0.009 0.355
I10 0.633 0.624 0.145
I11 0.991 0.367 0.145
I12 0.991 0.624 0.355

5.
Theoretical XRD peak list of Ag3PbF8 for Cu Kα (weighted mean of Kα1 and Kα2), from DFT lattice parameters and positions (PBE).

Principal peaks in the range 2θ from 5° to 70°, by intensity:
2θ = 17.3°, rel. 100
2θ = 21.4°, rel. 65
2θ = 30.7°, rel. 50
2θ = 40.5°, rel. 46
2θ = 31.5°, rel. 38
2θ = 29.7°, rel. 37
2θ = 52.2°, rel. 33
2θ = 35.0°, rel. 24
2θ = 31.0°, rel. 19
2θ = 50.3°, rel. 16

Crystal structure
a b c (Å): 6.362 6.362 7.084
angles (deg): 90.00 90.00 126.39
Positions (direct):
Ag1 0.000 0.000 0.000
Ag2 0.000 0.500 0.765
Ag3 0.500 0.000 0.235
Pb1 0.000 0.000 0.500
F1 0.190 0.810 0.500
F2 0.191 0.809 0.000
F3 0.230 0.268 0.716
F4 0.268 0.230 0.284
F5 0.732 0.770 0.284
F6 0.770 0.732 0.716
F7 0.809 0.191 0.000
F8 0.810 0.190 0.500

6.
Theoretical XRD peak list of NaGaSn for Cu Kα (weighted mean of Kα1 and Kα2), from DFT lattice parameters and positions (PBE).

Principal peaks in the range 2θ from 5° to 70°, by intensity:
2θ = 38.4°, rel. 100
2θ = 42.2°, rel. 69
2θ = 32.3°, rel. 68
2θ = 24.9°, rel. 60
2θ = 21.9°, rel. 46
2θ = 45.5°, rel. 43
2θ = 23.5°, rel. 40
2θ = 58.3°, rel. 27
2θ = 65.8°, rel. 24
2θ = 51.0°, rel. 19

Crystal structure
a b c (Å): 4.690 4.690 7.571
angles (deg): 90.00 90.00 120.00
Positions (direct):
Na1 0.000 0.000 0.000
Na2 0.000 0.000 0.500
Ga1 0.333 0.667 0.322
Ga2 0.667 0.333 0.822
Sn1 0.333 0.667 0.712
Sn2 0.667 0.333 0.212

7.
Theoretical XRD peak list of AcMg9Cd3 for Cu Kα (weighted mean of Kα1 and Kα2), from DFT lattice parameters and positions (PBE).

Principal peaks in the range 2θ from 5° to 70°, by intensity:
2θ = 35.2°, rel. 100
2θ = 24.7°, rel. 84
2θ = 12.3°, rel. 72
2θ = 17.2°, rel. 69
2θ = 34.6°, rel. 65
2θ = 34.8°, rel. 64
2θ = 24.6°, rel. 41
2θ = 24.4°, rel. 41
2θ = 35.1°, rel. 37
2θ = 30.1°, rel. 35

Crystal structure
a b c (Å): 7.808 7.808 7.790
angles (deg): 98.33 98.33 134.81
Positions (direct):
Ac1 0.000 0.000 0.000
Mg1 0.000 0.000 0.500
Mg2 0.003 0.649 0.649
Mg3 0.285 0.504 0.784
Mg4 0.351 0.997 0.351
Mg5 0.496 0.715 0.216
Mg6 0.504 0.285 0.784
Mg7 0.649 0.003 0.649
Mg8 0.715 0.496 0.216
Mg9 0.997 0.351 0.351
Cd1 0.000 0.500 0.000
Cd2 0.500 0.000 0.000
Cd3 0.500 0.500 0.500

8.
Theoretical XRD peak list of Y4Ga2O9 for Cu Kα (weighted mean of Kα1 and Kα2), from DFT lattice parameters and positions (PBE).

Principal peaks in the range 2θ from 5° to 70°, by intensity:
2θ = 29.7°, rel. 100
2θ = 32.1°, rel. 65
2θ = 26.6°, rel. 55
2θ = 26.3°, rel. 37
2θ = 36.8°, rel. 33
2θ = 32.8°, rel. 33
2θ = 52.6°, rel. 29
2θ = 38.6°, rel. 25
2θ = 57.9°, rel. 22
2θ = 46.7°, rel. 19

Crystal structure
a b c (Å): 13.018 6.023 10.830
angles (deg): 90.00 90.00 90.00
Positions (direct):
Y1 0.024 0.245 0.076
Y2 0.024 0.755 0.576
Y3 0.121 0.244 0.713
Y4 0.121 0.756 0.213
Y5 0.379 0.256 0.213
Y6 0.379 0.744 0.713
Y7 0.476 0.255 0.576
Y8 0.476 0.745 0.076
Y9 0.524 0.255 0.924
Y10 0.524 0.745 0.424
Y11 0.621 0.256 0.287
Y12 0.621 0.744 0.787
Y13 0.879 0.244 0.787
Y14 0.879 0.756 0.287
Y15 0.976 0.245 0.424
Y16 0.976 0.755 0.924
Ga1 0.241 0.450 0.466
Ga2 0.241 0.550 0.966
Ga3 0.259 0.050 0.966
Ga4 0.259 0.950 0.466
Ga5 0.741 0.050 0.534
Ga6 0.741 0.950 0.034
Ga7 0.759 0.450 0.034
Ga8 0.759 0.550 0.534
O1 0.000 0.454 0.250
O2 0.000 0.546 0.750
O3 0.030 0.097 0.874
O4 0.030 0.903 0.374
O5 0.107 0.428 0.526
O6 0.107 0.572 0.026
O7 0.181 0.062 0.108
O8 0.181 0.938 0.608
O9 0.242 0.300 0.865
O10 0.242 0.700 0.365
O11 0.258 0.200 0.365
O12 0.258 0.800 0.865
O13 0.319 0.438 0.608
O14 0.319 0.562 0.108
O15 0.393 0.072 0.026
O16 0.393 0.928 0.526
O17 0.470 0.403 0.374
O18 0.470 0.597 0.874
O19 0.500 0.046 0.750
O20 0.500 0.954 0.250
O21 0.530 0.403 0.126
O22 0.530 0.597 0.626
O23 0.607 0.072 0.474
O24 0.607 0.928 0.974
O25 0.681 0.438 0.892
O26 0.681 0.562 0.392
O27 0.742 0.200 0.135
O28 0.742 0.800 0.635
O29 0.758 0.300 0.635
O30 0.758 0.700 0.135
O31 0.819 0.062 0.392
O32 0.819 0.938 0.892
O33 0.893 0.428 0.974
O34 0.893 0.572 0.474
O35 0.970 0.097 0.626
O36 0.970 0.903 0.126